Record 1
For LiSc2Os, a DFT-relaxed cell (GGA-PBE, the Materials Project) gives the theoretical powder X-ray diffraction pattern in this record (Cu Ka).
Lines closer than 0.1° are merged.

Principal peaks in the range 2θ from 15° to 90°, in order of falling intensity:
- 2θ = 23.57°, I 100.0
- 2θ = 38.96°, I 98.4
- 2θ = 46.03°, I 51.8
- 2θ = 70.56°, I 32.9
- 2θ = 61.85°, I 21.7
- 2θ = 88.45°, I 17.1
- 2θ = 56.27°, I 16.5
- 2θ = 75.55°, I 16.3
- 2θ = 27.28°, I 15.8
- 2θ = 83.66°, I 10.4

Cell and atoms:
```
data_LiSc2Os
_chemical_formula_sum 'Li1 Sc2 Os1'
_symmetry_space_group_name_H-M 'P 1'
_symmetry_Int_Tables_number 1
_cell_length_a 4.6239
_cell_length_b 4.6239
_cell_length_c 4.6239
_cell_angle_alpha 60.00
_cell_angle_beta 60.00
_cell_angle_gamma 60.00
loop_
_symmetry_equiv_pos_as_xyz
'x,y,z'
loop_
_atom_site_label
_atom_site_fract_x
_atom_site_fract_y
_atom_site_fract_z
Li1 0.0000 0.0000 0.0000
Sc1 0.2500 0.2500 0.2500
Sc2 0.7500 0.7500 0.7500
Os1 0.5000 0.5000 0.5000
```

Record 2
For Li3P, a DFT-relaxed cell (GGA-PBE, the Materials Project) gives the theoretical powder X-ray diffraction pattern in this record (Cu Ka).
Lines closer than 0.1° are merged.

Principal peaks in the range 2θ from 15° to 90°, in order of falling intensity:
- 2θ = 27.01°, I 100.0
- 2θ = 43.53°, I 61.7
- 2θ = 42.69°, I 55.5
- 2θ = 23.50°, I 47.3
- 2θ = 24.26°, I 32.3
- 2θ = 49.30°, I 30.9
- 2θ = 78.75°, I 20.8
- 2θ = 62.61°, I 20.2
- 2θ = 51.25°, I 13.8
- 2θ = 66.22°, I 12.3

Cell and atoms:
```
data_Li3P
_chemical_formula_sum 'Li6 P2'
_symmetry_space_group_name_H-M 'P 1'
_symmetry_Int_Tables_number 1
_cell_length_a 4.2359
_cell_length_b 4.2359
_cell_length_c 7.5707
_cell_angle_alpha 90.00
_cell_angle_beta 90.00
_cell_angle_gamma 120.00
loop_
_symmetry_equiv_pos_as_xyz
'x,y,z'
loop_
_atom_site_label
_atom_site_fract_x
_atom_site_fract_y
_atom_site_fract_z
Li1 0.0000 0.0000 0.2500
Li2 0.0000 0.0000 0.7500
Li3 0.3333 0.6667 0.0841
Li4 0.3333 0.6667 0.4159
Li5 0.6667 0.3333 0.5841
Li6 0.6667 0.3333 0.9159
P1 0.3333 0.6667 0.7500
P2 0.6667 0.3333 0.2500
```

What is the formula in the second record?
Li3P